[1]
This entry pairs a crystal structure of Rb3LaO3 with its theoretical PXRD pattern. Radiation: a wavelength of 1.5418 Å. Structure: a GGA-PBE-relaxed structure.

The 10 most intense peaks (15 to 90 degrees two-theta), low angle first:
- 2θ = 27.0°, I 99
- 2θ = 28.6°, I 82
- 2θ = 30.1°, I 47
- 2θ = 33.2°, I 100
- 2θ = 45.4°, I 55
- 2θ = 45.6°, I 18
- 2θ = 46.2°, I 17
- 2θ = 54.7°, I 31
- 2θ = 55.6°, I 19
- 2θ = 57.3°, I 25

Structure:
Unit cell a=8.0357 b=8.0357 c=8.0357 alpha=125.52 beta=120.65 gamma=84.79
Element x y z (fractional)
Rb: 0.0000 0.2536 0.2536
Rb: 0.0000 0.7464 0.7464
Rb: 0.4708 0.2208 0.2500
Rb: 0.5000 0.2536 0.7536
Rb: 0.5000 0.7464 0.2464
Rb: 0.5292 0.7792 0.7500
La: 0.0347 0.7847 0.2500
La: 0.9653 0.2153 0.7500
O: 0.1964 0.0000 0.6964
O: 0.1964 0.5000 0.1964
O: 0.2268 0.9768 0.2500
O: 0.7732 0.0232 0.7500
O: 0.8036 0.0000 0.3036
O: 0.8036 0.5000 0.8036



[2]
This entry pairs a crystal structure of Hf2Mg2PbO7 with its theoretical PXRD pattern. Radiation: a wavelength of 1.5418 Å. Structure: a GGA-PBE-relaxed structure.

The 10 most intense peaks (15 to 90 degrees two-theta), low angle first:
- 2θ = 26.1°, I 100
- 2θ = 30.3°, I 50
- 2θ = 32.0°, I 28
- 2θ = 33.1°, I 79
- 2θ = 40.6°, I 23
- 2θ = 43.4°, I 38
- 2θ = 51.4°, I 33
- 2θ = 51.5°, I 20
- 2θ = 55.7°, I 35
- 2θ = 60.9°, I 34

Structure:
Unit cell a=9.3594 b=9.3594 c=9.3594 alpha=154.28 beta=36.70 gamma=154.28
Element x y z (fractional)
Hf: 0.1158 0.0000 0.1158
Hf: 0.8842 0.0000 0.8842
Mg: 0.2662 0.5131 0.7531
Mg: 0.7600 0.5131 0.2469
Pb: 0.4233 0.9233 0.5000
O: 0.0596 0.0596 0.0000
O: 0.1423 0.5257 0.6167
O: 0.2488 0.0142 0.2346
O: 0.3879 0.5133 0.8746
O: 0.6386 0.5133 0.1254
O: 0.7796 0.0142 0.7654
O: 0.9090 0.5257 0.3833



[3]
This entry pairs a crystal structure of TlIn6Te4 with its theoretical PXRD pattern. Radiation: a wavelength of 1.5418 Å. Structure: a GGA-PBE-relaxed structure.

The 10 most intense peaks (15 to 90 degrees two-theta), low angle first:
- 2θ = 21.8°, I 43
- 2θ = 25.5°, I 88
- 2θ = 27.5°, I 59
- 2θ = 28.2°, I 100
- 2θ = 28.9°, I 48
- 2θ = 34.0°, I 81
- 2θ = 35.2°, I 60
- 2θ = 35.3°, I 98
- 2θ = 35.9°, I 49
- 2θ = 36.4°, I 51

Structure:
Unit cell a=6.9826 b=7.0722 c=9.0095 alpha=68.23 beta=67.27 gamma=89.32
Element x y z (fractional)
Tl: 0.0000 0.0000 0.0000
In: 0.0306 0.5777 0.3111
In: 0.3430 0.4111 0.6981
In: 0.4195 0.1236 0.3029
In: 0.5092 0.9908 0.0047
In: 0.7209 0.8618 0.7032
In: 0.9117 0.4996 0.0049
Te: 0.3062 0.8618 0.6726
Te: 0.4793 0.5407 0.3066
Te: 0.7851 0.4417 0.7034
Te: 0.9735 0.1246 0.3343



[4]
This entry pairs a crystal structure of Rb2Ce3I8 with its theoretical PXRD pattern. Radiation: a wavelength of 1.5418 Å. Structure: a GGA-PBE-relaxed structure.

The 10 most intense peaks (15 to 90 degrees two-theta), low angle first:
- 2θ = 19.4°, I 19
- 2θ = 24.1°, I 44
- 2θ = 27.9°, I 62
- 2θ = 28.6°, I 100
- 2θ = 32.2°, I 34
- 2θ = 33.6°, I 21
- 2θ = 39.9°, I 31
- 2θ = 40.4°, I 24
- 2θ = 41.0°, I 45
- 2θ = 49.8°, I 28

Structure:
Unit cell a=10.4009 b=10.4009 c=7.6012 alpha=101.69 beta=101.69 gamma=50.91
Element x y z (fractional)
Rb: 0.2442 0.2442 0.1742
Rb: 0.7558 0.7558 0.8258
Ce: 0.2804 0.7196 0.5000
Ce: 0.5000 0.5000 0.0000
Ce: 0.7196 0.2804 0.5000
I: 0.0967 0.0967 0.4058
I: 0.1440 0.6409 0.1050
I: 0.3591 0.8560 0.8950
I: 0.3801 0.3801 0.6137
I: 0.6199 0.6199 0.3863
I: 0.6409 0.1440 0.1050
I: 0.8560 0.3591 0.8950
I: 0.9033 0.9033 0.5942